(1)
Starting from a cell relaxed with PBE, the X-ray powder pattern of PrPuCd2 was calculated for a wavelength of 1.5418 Å.
Kinematic intensities with the Lorentz-polarization factor, no thermal factor.

Structure:
a b c (Å): 5.3642 5.3642 3.9224
angles (deg): 90.00 90.00 90.00
Sites, in units of the cell vectors:
Pr1 0.0000 0.0000 0.0000
Pu1 0.5000 0.5000 0.0000
Cd1 0.0000 0.5000 0.5000
Cd2 0.5000 0.0000 0.5000

Main lines, sorted by position (15° ≤ 2θ ≤ 90°):
| Position (°2θ) | intensity |
| --- | --- |
| 32.85 | 100 |
| 33.41 | 48 |
| 47.97 | 17 |
| 58.28 | 19 |
| 59.36 | 36 |
| 68.87 | 12 |

---

(2)
Starting from a cell relaxed with PBE, the X-ray powder pattern of PrPuCd4 was calculated for a wavelength of 1.5418 Å.
Kinematic intensities with the Lorentz-polarization factor, no thermal factor.

Structure:
a b c (Å): 9.4925 9.4925 5.1424
angles (deg): 90.00 90.00 139.13
Sites, in units of the cell vectors:
Pr1 0.1224 0.8776 0.7500
Pr2 0.8776 0.1224 0.2500
Pu1 0.3723 0.6277 0.2500
Pu2 0.6277 0.3723 0.7500
Cd1 0.0439 0.4608 0.7500
Cd2 0.2186 0.3019 0.7500
Cd3 0.3019 0.2186 0.2500
Cd4 0.4608 0.0439 0.2500
Cd5 0.5392 0.9561 0.7500
Cd6 0.6981 0.7814 0.7500
Cd7 0.7814 0.6981 0.2500
Cd8 0.9561 0.5392 0.2500

Main lines, sorted by position (15° ≤ 2θ ≤ 90°):
| Position (°2θ) | intensity |
| --- | --- |
| 33.72 | 100 |
| 34.92 | 87 |
| 49.33 | 34 |
| 61.85 | 34 |
| 62.62 | 15 |
| 67.22 | 25 |

---

(3)
Starting from a cell relaxed with PBE, the X-ray powder pattern of Pr4CdRh2 was calculated for a wavelength of 1.5418 Å.
Kinematic intensities with the Lorentz-polarization factor, no thermal factor.

Structure:
a b c (Å): 7.1528 7.1716 8.9227
angles (deg): 107.58 107.50 104.39
Sites, in units of the cell vectors:
Pr1 0.0000 0.0000 0.0000
Pr2 0.0396 0.7168 0.5854
Pr3 0.1004 0.2774 0.7070
Pr4 0.2575 0.5978 0.1735
Pr5 0.5092 0.5463 0.5739
Pr6 0.5822 0.1192 0.7199
Pr7 0.6460 0.1469 0.2930
Pr8 0.7307 0.5717 0.1196
Cd1 0.1718 0.0335 0.3809
Cd2 0.4359 0.7990 0.9123
Rh1 0.0470 0.3703 0.3223
Rh2 0.3714 0.1951 0.9708
Rh3 0.7091 0.8516 0.4567
Rh4 0.8995 0.5415 0.8364

Main lines, sorted by position (15° ≤ 2θ ≤ 90°):
| Position (°2θ) | intensity |
| --- | --- |
| 27.86 | 38 |
| 28.17 | 46 |
| 31.04 | 100 |
| 31.54 | 57 |
| 32.11 | 85 |
| 34.69 | 74 |

---

(4)
Starting from a cell relaxed with PBE, the X-ray powder pattern of Pr8Cd3Rh2 was calculated for a wavelength of 1.5418 Å.
Kinematic intensities with the Lorentz-polarization factor, no thermal factor.

Structure:
a b c (Å): 9.1794 9.1794 6.3525
angles (deg): 97.53 97.53 50.09
Sites, in units of the cell vectors:
Pr1 0.0800 0.0800 0.3109
Pr2 0.0991 0.6087 0.1374
Pr3 0.3110 0.3110 0.6274
Pr4 0.3913 0.9009 0.8626
Pr5 0.6087 0.0991 0.1374
Pr6 0.6890 0.6890 0.3726
Pr7 0.9009 0.3913 0.8626
Pr8 0.9200 0.9200 0.6891
Cd1 0.3270 0.6730 0.5000
Cd2 0.5000 0.5000 0.0000
Cd3 0.6730 0.3270 0.5000
Rh1 0.2330 0.2330 0.1705
Rh2 0.7670 0.7670 0.8295

Main lines, sorted by position (15° ≤ 2θ ≤ 90°):
| Position (°2θ) | intensity |
| --- | --- |
| 28.32 | 100 |
| 29.47 | 26 |
| 31.00 | 30 |
| 31.91 | 74 |
| 32.82 | 25 |
| 36.13 | 36 |

---

(5)
Starting from a cell relaxed with PBE, the X-ray powder pattern of Pr2Cd2Rh15 was calculated for a wavelength of 1.5418 Å.
Kinematic intensities with the Lorentz-polarization factor, no thermal factor.

Structure:
a b c (Å): 6.8894 6.8894 6.8894
angles (deg): 82.94 82.94 82.94
Sites, in units of the cell vectors:
Pr1 0.1520 0.1520 0.1520
Pr2 0.8480 0.8480 0.8480
Cd1 0.3975 0.3975 0.3975
Cd2 0.6025 0.6025 0.6025
Rh1 0.0000 0.5000 0.5000
Rh2 0.1493 0.1493 0.6555
Rh3 0.1493 0.6555 0.1493
Rh4 0.1973 0.5000 0.8027
Rh5 0.1973 0.8027 0.5000
Rh6 0.3445 0.8507 0.8507
Rh7 0.5000 0.0000 0.5000
Rh8 0.5000 0.1973 0.8027
Rh9 0.5000 0.5000 0.0000
Rh10 0.5000 0.8027 0.1973
Rh11 0.6555 0.1493 0.1493
Rh12 0.8027 0.1973 0.5000
Rh13 0.8027 0.5000 0.1973
Rh14 0.8507 0.3445 0.8507
Rh15 0.8507 0.8507 0.3445

Main lines, sorted by position (15° ≤ 2θ ≤ 90°):
| Position (°2θ) | intensity |
| --- | --- |
| 34.04 | 39 |
| 35.25 | 32 |
| 39.50 | 63 |
| 39.79 | 100 |
| 40.62 | 48 |
| 44.66 | 64 |

---

(6)
Starting from a cell relaxed with PBE, the X-ray powder pattern of Pr3CdRh3 was calculated for a wavelength of 1.5418 Å.
Kinematic intensities with the Lorentz-polarization factor, no thermal factor.

Structure:
a b c (Å): 5.7200 5.7200 13.9851
angles (deg): 90.00 90.00 134.25
Sites, in units of the cell vectors:
Pr1 0.0237 0.9763 0.7500
Pr2 0.3040 0.6960 0.6049
Pr3 0.3040 0.6960 0.8951
Pr4 0.6960 0.3040 0.1049
Pr5 0.6960 0.3040 0.3951
Pr6 0.9763 0.0237 0.2500
Cd1 0.0000 0.0000 0.0000
Cd2 0.0000 0.0000 0.5000
Rh1 0.2480 0.7520 0.2500
Rh2 0.4036 0.5964 0.0944
Rh3 0.4036 0.5964 0.4056
Rh4 0.5964 0.4036 0.5944
Rh5 0.5964 0.4036 0.9056
Rh6 0.7520 0.2480 0.7500

Main lines, sorted by position (15° ≤ 2θ ≤ 90°):
| Position (°2θ) | intensity |
| --- | --- |
| 29.01 | 31 |
| 30.69 | 24 |
| 32.48 | 72 |
| 33.70 | 100 |
| 37.92 | 85 |
| 40.57 | 51 |

---

(7)
Starting from a cell relaxed with PBE, the X-ray powder pattern of Pr4ScCd3 was calculated for a wavelength of 1.5418 Å.
Kinematic intensities with the Lorentz-polarization factor, no thermal factor.

Structure:
a b c (Å): 3.7850 5.5484 11.2028
angles (deg): 90.00 90.00 90.00
Sites, in units of the cell vectors:
Pr1 0.0000 0.0000 0.0000
Pr2 0.0000 0.0000 0.5000
Pr3 0.0000 0.5000 0.2456
Pr4 0.0000 0.5000 0.7544
Sc1 0.5000 0.5000 0.5000
Cd1 0.5000 0.0000 0.2552
Cd2 0.5000 0.0000 0.7448
Cd3 0.5000 0.5000 0.0000

Main lines, sorted by position (15° ≤ 2θ ≤ 90°):
| Position (°2θ) | intensity |
| --- | --- |
| 31.96 | 27 |
| 32.27 | 26 |
| 32.80 | 100 |
| 46.05 | 19 |
| 57.49 | 19 |
| 57.88 | 19 |

---

(8)
Starting from a cell relaxed with PBE, the X-ray powder pattern of Pr3ScCd was calculated for a wavelength of 1.5418 Å.
Kinematic intensities with the Lorentz-polarization factor, no thermal factor.

Structure:
a b c (Å): 11.4358 11.4358 8.2348
angles (deg): 106.21 106.21 17.88
Sites, in units of the cell vectors:
Pr1 0.0165 0.0165 0.2366
Pr2 0.1778 0.1778 0.4570
Pr3 0.3738 0.3738 0.9642
Pr4 0.6262 0.6262 0.0358
Pr5 0.8222 0.8222 0.5430
Pr6 0.9835 0.9835 0.7634
Sc1 0.2626 0.2626 0.1703
Sc2 0.7374 0.7374 0.8297
Cd1 0.4187 0.4187 0.3916
Cd2 0.5813 0.5813 0.6084

Main lines, sorted by position (15° ≤ 2θ ≤ 90°):
| Position (°2θ) | intensity |
| --- | --- |
| 28.85 | 66 |
| 31.57 | 100 |
| 31.75 | 84 |
| 32.57 | 90 |
| 33.37 | 98 |
| 33.85 | 54 |

---

(9)
Starting from a cell relaxed with PBE, the X-ray powder pattern of Pr2ScCd5 was calculated for a wavelength of 1.5418 Å.
Kinematic intensities with the Lorentz-polarization factor, no thermal factor.

Structure:
a b c (Å): 5.0904 5.0904 15.5219
angles (deg): 90.00 90.00 90.00
Sites, in units of the cell vectors:
Pr1 0.0000 0.0000 0.2397
Pr2 0.0000 0.0000 0.7603
Pr3 0.5000 0.5000 0.2603
Pr4 0.5000 0.5000 0.7397
Sc1 0.0000 0.0000 0.5000
Sc2 0.5000 0.5000 0.0000
Cd1 0.0000 0.0000 0.0000
Cd2 0.0000 0.5000 0.1090
Cd3 0.0000 0.5000 0.3910
Cd4 0.0000 0.5000 0.6090
Cd5 0.0000 0.5000 0.8910
Cd6 0.5000 0.0000 0.1090
Cd7 0.5000 0.0000 0.3910
Cd8 0.5000 0.0000 0.6090
Cd9 0.5000 0.0000 0.8910
Cd10 0.5000 0.5000 0.5000

Main lines, sorted by position (15° ≤ 2θ ≤ 90°):
| Position (°2θ) | intensity |
| --- | --- |
| 27.31 | 11 |
| 33.97 | 100 |
| 35.26 | 50 |
| 50.73 | 17 |
| 59.95 | 13 |
| 62.46 | 33 |

---

(10)
Starting from a cell relaxed with PBE, the X-ray powder pattern of Pr3ScCd was calculated for a wavelength of 1.5418 Å.
Kinematic intensities with the Lorentz-polarization factor, no thermal factor.

Structure:
a b c (Å): 9.9824 6.3006 12.1401
angles (deg): 90.00 125.05 90.00
Sites, in units of the cell vectors:
Pr1 0.1201 0.0344 0.2706
Pr2 0.1201 0.4656 0.7706
Pr3 0.2575 0.1357 0.0631
Pr4 0.2575 0.3643 0.5631
Pr5 0.3224 0.5559 0.3189
Pr6 0.3224 0.9441 0.8189
Pr7 0.6776 0.0559 0.1811
Pr8 0.6776 0.4441 0.6811
Pr9 0.7425 0.6357 0.4369
Pr10 0.7425 0.8643 0.9369
Pr11 0.8799 0.5344 0.2294
Pr12 0.8799 0.9656 0.7294
Sc1 0.4590 0.6039 0.0991
Sc2 0.4590 0.8961 0.5991
Sc3 0.5410 0.1039 0.4009
Sc4 0.5410 0.3961 0.9009
Cd1 0.0951 0.6717 0.0032
Cd2 0.0951 0.8283 0.5032
Cd3 0.9049 0.1717 0.4968
Cd4 0.9049 0.3283 0.9968

Main lines, sorted by position (15° ≤ 2θ ≤ 90°):
| Position (°2θ) | intensity |
| --- | --- |
| 29.75 | 19 |
| 30.40 | 31 |
| 31.03 | 54 |
| 31.46 | 100 |
| 33.69 | 20 |
| 55.46 | 18 |

---

(11)
Starting from a cell relaxed with PBE, the X-ray powder pattern of Pr2CdSi3 was calculated for a wavelength of 1.5418 Å.
Kinematic intensities with the Lorentz-polarization factor, no thermal factor.

Structure:
a b c (Å): 4.1987 4.3715 14.6503
angles (deg): 90.00 90.00 90.00
Sites, in units of the cell vectors:
Pr1 0.0000 0.0000 0.0000
Pr2 0.0000 0.5000 0.2686
Pr3 0.5000 0.0000 0.7686
Pr4 0.5000 0.5000 0.5000
Cd1 0.0000 0.0000 0.5958
Cd2 0.5000 0.5000 0.0958
Si1 0.0000 0.0000 0.4225
Si2 0.0000 0.5000 0.6840
Si3 0.0000 0.5000 0.8437
Si4 0.5000 0.0000 0.1840
Si5 0.5000 0.0000 0.3437
Si6 0.5000 0.5000 0.9225

Main lines, sorted by position (15° ≤ 2θ ≤ 90°):
| Position (°2θ) | intensity |
| --- | --- |
| 21.21 | 19 |
| 28.03 | 42 |
| 31.98 | 100 |
| 36.93 | 37 |
| 41.31 | 19 |
| 58.01 | 21 |